Record 1
The following is a calculated PXRD pattern of K2SmBiS4. It was derived from a cell relaxed with GGA-PBE, using λ = 1.5418 Å (Cu Kα).
Kinematic intensities with the Lorentz-polarization factor, no thermal factor.

Top 10 peaks for 2θ = 10–90°, by angle:
d_spacing, 2θ/deg, Rel. int., h k l
7.396, 12.0, 79, 0 0 1
3.698, 24.1, 18, 0 0 2
3.553, 25.1, 31, 1 1 0
3.424, 26.0, 39, 2 0 0
3.019, 29.6, 100, 1 1 1
2.379, 37.8, 20, 2 0 -3
2.197, 41.1, 37, 2 0 2
2.078, 43.6, 34, 0 2 0
2.001, 45.3, 19, 3 1 -2
1.710, 53.6, 12, 2 2 -2

Crystal structure
```
data_K2SmBiS4
_chemical_formula_sum 'K2 Sm1 Bi1 S4'
_cell_length_a 7.206
_cell_length_b 4.152
_cell_length_c 7.771
_cell_angle_alpha 90.00
_cell_angle_beta 107.89
_cell_angle_gamma 90.00
_symmetry_space_group_name_H-M 'P 1 2/m 1'
_symmetry_Int_Tables_number 10
loop_
_symmetry_equiv_pos_as_xyz
'x,y,z'
'-x,-y,-z'
'-x,y,-z'
'x,-y,z'
loop_
_atom_site_label
_atom_site_type_symbol
_atom_site_fract_x
_atom_site_fract_y
_atom_site_fract_z
K1 K 0.000 0.000 0.000
K2 K 0.500 0.500 0.000
Sm1 Sm 0.000 0.500 0.500
Bi1 Bi 0.500 0.000 0.500
S1 S 0.233 0.000 0.706
S2 S 0.260 0.500 0.291
```

Record 2
The following is a calculated PXRD pattern of Be2Zn2GePt5. It was derived from a cell relaxed with GGA-PBE, using λ = 1.5418 Å (Cu Kα).
Kinematic intensities with the Lorentz-polarization factor, no thermal factor.

Top 10 peaks for 2θ = 10–90°, by angle:
d_spacing, 2θ/deg, Rel. int., h k l
3.410, 26.1, 59, 0 0 1
2.885, 31.0, 26, 3 1 0
2.617, 34.3, 42, 2 1 1
2.530, 35.5, 34, 3 2 0
2.213, 40.8, 51, 4 1 0
2.203, 41.0, 100, 3 1 1
2.040, 44.4, 31, 4 2 0
2.032, 44.6, 42, 3 2 1
1.856, 49.1, 24, 4 1 1
1.207, 79.4, 32, 5 5 1

Crystal structure
```
data_Be2Zn2GePt5
_chemical_formula_sum 'Be4 Zn4 Ge2 Pt10'
_cell_length_a 9.123
_cell_length_b 9.123
_cell_length_c 3.410
_cell_angle_alpha 90.00
_cell_angle_beta 90.00
_cell_angle_gamma 90.00
_symmetry_space_group_name_H-M 'P 4/m b m'
_symmetry_Int_Tables_number 127
_symmetry_space_group_name_Hall '-P 4 2ab'
loop_
_atom_site_label
_atom_site_type_symbol
_atom_site_fract_x
_atom_site_fract_y
_atom_site_fract_z
Be1 Be 0.126 0.374 0.000
Zn1 Zn 0.170 0.670 0.000
Ge1 Ge 0.000 0.000 0.000
Pt1 Pt 0.000 0.500 0.500
Pt2 Pt 0.084 0.202 0.500
```

Record 3
The following is a calculated PXRD pattern of Er7Co2Au2. It was derived from a cell relaxed with GGA-PBE, using λ = 1.5418 Å (Cu Kα).
Kinematic intensities with the Lorentz-polarization factor, no thermal factor.

Top 10 peaks for 2θ = 10–90°, by angle:
d_spacing, 2θ/deg, Rel. int., h k l
2.983, 30.0, 32, 1 3 0
2.940, 30.4, 22, 0 5 1
2.832, 31.6, 42, 1 1 2
2.668, 33.6, 66, 0 3 3
2.581, 34.8, 18, 0 6 0
2.557, 35.1, 100, 1 4 1
2.515, 35.7, 35, 1 3 2
2.268, 39.7, 32, 1 2 3
1.829, 49.9, 25, 2 0 0
1.508, 61.5, 26, 2 3 3

Crystal structure
```
data_Er7Co2Au2
_chemical_formula_sum 'Er14 Co4 Au4'
_cell_length_a 3.657
_cell_length_b 15.484
_cell_length_c 9.349
_cell_angle_alpha 90.00
_cell_angle_beta 90.00
_cell_angle_gamma 90.00
_symmetry_space_group_name_H-M 'I m m 2'
_symmetry_Int_Tables_number 44
loop_
_symmetry_equiv_pos_as_xyz
'x,y,z'
'-x,-y,z'
'-x,y,z'
'x,-y,z'
'x+1/2,y+1/2,z+1/2'
'-x+1/2,-y+1/2,z+1/2'
'-x+1/2,y+1/2,z+1/2'
'x+1/2,-y+1/2,z+1/2'
loop_
_atom_site_label
_atom_site_type_symbol
_atom_site_fract_x
_atom_site_fract_y
_atom_site_fract_z
Er1 Er 0.000 0.000 0.000
Er2 Er 0.000 0.122 0.580
Er3 Er 0.000 0.311 0.385
Er4 Er 0.000 0.355 0.737
Co1 Co 0.000 0.246 0.087
Au1 Au 0.000 0.000 0.325
Au2 Au 0.000 0.500 0.251
```

Record 4
The following is a calculated PXRD pattern of Nb2SbRu2. It was derived from a cell relaxed with GGA-PBE, using λ = 1.5418 Å (Cu Kα).
Kinematic intensities with the Lorentz-polarization factor, no thermal factor.

Top 10 peaks for 2θ = 10–90°, by angle:
d_spacing, 2θ/deg, Rel. int., h k l
2.687, 33.3, 11, 2 2 0
2.403, 37.4, 74, 3 1 0
2.380, 37.8, 20, 2 0 1
2.272, 39.7, 100, 2 1 1
1.889, 48.2, 11, 3 1 1
1.735, 52.8, 11, 3 2 1
1.527, 60.6, 11, 0 0 2
1.339, 70.3, 9, 5 1 1
1.289, 73.5, 20, 3 1 2
1.281, 74.0, 20, 5 2 1

Crystal structure
```
data_Nb2SbRu2
_chemical_formula_sum 'Nb4 Sb2 Ru4'
_cell_length_a 7.600
_cell_length_b 7.600
_cell_length_c 3.054
_cell_angle_alpha 90.00
_cell_angle_beta 90.00
_cell_angle_gamma 90.00
_symmetry_space_group_name_H-M 'P 4/m b m'
_symmetry_Int_Tables_number 127
_symmetry_space_group_name_Hall '-P 4 2ab'
loop_
_atom_site_label
_atom_site_type_symbol
_atom_site_fract_x
_atom_site_fract_y
_atom_site_fract_z
Nb1 Nb 0.158 0.342 0.000
Sb1 Sb 0.000 0.000 0.500
Ru1 Ru 0.133 0.633 0.500
```

Repeat the second record exactly.
The following is a calculated PXRD pattern of Be2Zn2GePt5. It was derived from a cell relaxed with GGA-PBE, using λ = 1.5418 Å (Cu Kα).
Kinematic intensities with the Lorentz-polarization factor, no thermal factor.

Top 10 peaks for 2θ = 10–90°, by angle:
d_spacing, 2θ/deg, Rel. int., h k l
3.410, 26.1, 59, 0 0 1
2.885, 31.0, 26, 3 1 0
2.617, 34.3, 42, 2 1 1
2.530, 35.5, 34, 3 2 0
2.213, 40.8, 51, 4 1 0
2.203, 41.0, 100, 3 1 1
2.040, 44.4, 31, 4 2 0
2.032, 44.6, 42, 3 2 1
1.856, 49.1, 24, 4 1 1
1.207, 79.4, 32, 5 5 1

Crystal structure
```
data_Be2Zn2GePt5
_chemical_formula_sum 'Be4 Zn4 Ge2 Pt10'
_cell_length_a 9.123
_cell_length_b 9.123
_cell_length_c 3.410
_cell_angle_alpha 90.00
_cell_angle_beta 90.00
_cell_angle_gamma 90.00
_symmetry_space_group_name_H-M 'P 4/m b m'
_symmetry_Int_Tables_number 127
_symmetry_space_group_name_Hall '-P 4 2ab'
loop_
_atom_site_label
_atom_site_type_symbol
_atom_site_fract_x
_atom_site_fract_y
_atom_site_fract_z
Be1 Be 0.126 0.374 0.000
Zn1 Zn 0.170 0.670 0.000
Ge1 Ge 0.000 0.000 0.000
Pt1 Pt 0.000 0.500 0.500
Pt2 Pt 0.084 0.202 0.500
```